Rb2CaGeSe4: calculated powder diffraction line list (CuKα), based on the GGA-PBE geometry in Alexandria.

Structural model:
Cell: 8.6893 9.6983 7.3005 Å, 90.00 90.00 90.00°
Atoms (fractional coordinates):
Rb1 0.2280 0.1561 0.0000
Rb2 0.2720 0.8439 0.5000
Rb3 0.7280 0.8439 0.5000
Rb4 0.7720 0.1561 0.0000
Ca1 0.0000 0.3834 0.4745
Ca2 0.5000 0.6166 0.9745
Ge1 0.0000 0.6641 0.9558
Ge2 0.5000 0.3359 0.4558
Se1 0.0000 0.4401 0.0875
Se2 0.0000 0.6431 0.6334
Se3 0.2290 0.7972 0.0283
Se4 0.2710 0.2028 0.5283
Se5 0.5000 0.3569 0.1334
Se6 0.5000 0.5599 0.5875
Se7 0.7290 0.2028 0.5283
Se8 0.7710 0.7972 0.0283

Main lines, low angle first (2θ from 5° to 70°):
index, d_spacing, 2θ (°), intensity
0 2 0, 4.849, 18.3, 27.0
2 1 0, 3.965, 22.4, 100.0
0 0 2, 3.651, 24.4, 88.7
2 2 0, 3.235, 27.6, 28.1
0 3 1, 2.957, 30.2, 27.9
2 1 2, 2.686, 33.4, 42.6
2 3 0, 2.594, 34.6, 57.1
0 3 2, 2.421, 37.1, 38.7
4 0 0, 2.173, 41.6, 44.8
2 3 2, 2.114, 42.8, 41.4